Record 1
Calculated PXRD pattern
Compound: Cu6SnGe
Radiation: Cu Kα X-rays
Structure: a PBE-relaxed structure

The 10 most intense peaks (2θ from 10° to 90°), by angle:
- 37.82 deg, intensity 24, hkl 0 2 1
- 38.83 deg, intensity 13, hkl 0 0 2
- 42.30 deg, intensity 38, hkl 2 0 0
- 43.54 deg, intensity 100, hkl 1 2 1
- 44.45 deg, intensity 46, hkl 1 0 2
- 58.02 deg, intensity 13, hkl 2 2 1
- 69.64 deg, intensity 15, hkl 0 2 3
- 78.22 deg, intensity 17, hkl 3 2 1
- 84.57 deg, intensity 12, hkl 1 4 2
- 84.97 deg, intensity 17, hkl 2 2 3

Structure:
```
data_Cu6SnGe
_symmetry_space_group_name_H-M 'P m m 2'
_symmetry_Int_Tables_number 25
_cell_length_a 4.274
_cell_length_b 5.542
_cell_length_c 4.638
_cell_angle_alpha 90.00
_cell_angle_beta 90.00
_cell_angle_gamma 90.00
loop_
_symmetry_equiv_pos_as_xyz
'x,y,z'
'-x,-y,z'
'-x,y,z'
'x,-y,z'
loop_
_atom_site_label
_atom_site_fract_x
_atom_site_fract_y
_atom_site_fract_z
Cu1 0.000 0.000 0.000
Cu2 0.000 0.235 0.502
Cu3 0.500 0.235 0.824
Cu4 0.500 0.500 0.361
Sn1 0.000 0.500 0.995
Ge1 0.500 0.000 0.331
```

=====

Record 2
Calculated PXRD pattern
Compound: Ba
Radiation: Cu Kα X-rays
Structure: a PBE-relaxed structure

The 10 most intense peaks (2θ from 10° to 90°), by angle:
- 24.27 deg, intensity 100, hkl 1 1 1
- 28.10 deg, intensity 52, hkl 2 0 0
- 40.15 deg, intensity 39, hkl 2 2 0
- 47.47 deg, intensity 48, hkl 3 1 1
- 49.72 deg, intensity 14, hkl 2 2 2
- 58.09 deg, intensity 7, hkl 4 0 0
- 63.88 deg, intensity 20, hkl 3 3 1
- 65.75 deg, intensity 18, hkl 4 2 0
- 72.97 deg, intensity 14, hkl 4 2 2
- 78.20 deg, intensity 15, hkl 5 1 1

Structure:
```
data_Ba
_symmetry_space_group_name_H-M 'F m -3 m'
_symmetry_Int_Tables_number 225
_symmetry_space_group_name_Hall '-F 4 2 3'
_cell_length_a 6.352
_cell_length_b 6.352
_cell_length_c 6.352
_cell_angle_alpha 90.00
_cell_angle_beta 90.00
_cell_angle_gamma 90.00
loop_
_atom_site_label
_atom_site_fract_x
_atom_site_fract_y
_atom_site_fract_z
Ba1 0.000 0.000 0.000
```

=====

Record 3
Calculated PXRD pattern
Compound: DyThN2
Radiation: Cu Kα X-rays
Structure: a PBE-relaxed structure

The 10 most intense peaks (2θ from 10° to 90°), by angle:
- 30.62 deg, intensity 100, hkl 0 1 2
- 30.74 deg, intensity 33, hkl 0 0 6
- 35.54 deg, intensity 91, hkl 1 0 4
- 51.07 deg, intensity 32, hkl 1 1 0
- 51.21 deg, intensity 32, hkl 0 1 8
- 60.77 deg, intensity 46, hkl 2 0 2
- 60.92 deg, intensity 15, hkl 1 0 10
- 63.76 deg, intensity 16, hkl 0 2 4
- 85.95 deg, intensity 15, hkl 2 1 4
- 86.18 deg, intensity 15, hkl 1 1 12

Structure:
```
data_DyThN2
_symmetry_space_group_name_H-M 'R -3 m'
_symmetry_Int_Tables_number 166
_symmetry_space_group_name_Hall '-R 3 2"'
_cell_length_a 3.5771
_cell_length_b 3.5771
_cell_length_c 17.4541
_cell_angle_alpha 90.00
_cell_angle_beta 90.00
_cell_angle_gamma 120.00
loop_
_atom_site_label
_atom_site_fract_x
_atom_site_fract_y
_atom_site_fract_z
Dy1 0.0000 0.0000 0.0000
Th1 0.0000 0.0000 0.5000
N1 0.0000 0.0000 0.2511
```

=====

Record 4
Calculated PXRD pattern
Compound: Al3Cu2
Radiation: Cu Kα X-rays
Structure: a PBE-relaxed structure

The 10 most intense peaks (2θ from 10° to 90°), by angle:
- 17.63 deg, intensity 31, hkl 0 0 1
- 24.85 deg, intensity 41, hkl 1 0 0
- 30.63 deg, intensity 41, hkl 1 0 1
- 43.75 deg, intensity 88, hkl 1 1 0
- 43.98 deg, intensity 100, hkl 1 0 2
- 47.52 deg, intensity 14, hkl 1 1 1
- 63.77 deg, intensity 31, hkl 0 2 2
- 80.39 deg, intensity 13, hkl 3 0 0
- 80.55 deg, intensity 31, hkl 2 1 2
- 81.02 deg, intensity 12, hkl 0 1 4

Structure:
```
data_Al3Cu2
_symmetry_space_group_name_H-M 'P -3 m 1'
_symmetry_Int_Tables_number 164
_symmetry_space_group_name_Hall '-P 3 2"'
_cell_length_a 4.1380
_cell_length_b 4.1380
_cell_length_c 5.0308
_cell_angle_alpha 90.00
_cell_angle_beta 90.00
_cell_angle_gamma 120.00
loop_
_atom_site_label
_atom_site_fract_x
_atom_site_fract_y
_atom_site_fract_z
Al1 0.0000 0.0000 0.0000
Al2 0.3333 0.6667 0.3520
Cu1 0.3333 0.6667 0.8409
```